(1)
Structure and theoretical powder diffractogram of TbFe2 (DFT lattice parameters and positions (GGA-PBE); Cu Kα (λ = 1.5418 Å)).

Crystal structure
```
TbFe2
1.0
5.194 0.000 0.000
-2.597 4.499 0.000
0.000 0.000 8.410
Tb Fe
4 8
Direct
0.333 0.667 0.063 Tb
0.333 0.667 0.437 Tb
0.667 0.333 0.563 Tb
0.667 0.333 0.937 Tb
0.000 0.000 0.000 Fe
0.000 0.000 0.500 Fe
0.165 0.329 0.750 Fe
0.165 0.835 0.750 Fe
0.329 0.165 0.250 Fe
0.671 0.835 0.750 Fe
0.835 0.165 0.250 Fe
0.835 0.671 0.250 Fe
```

Principal peaks in the range 2θ from 10° to 90°, by angle:
2θ 34.53, I = 69
2θ 37.81, I = 99
2θ 40.84, I = 100
2θ 41.56, I = 55
2θ 58.59, I = 16
2θ 64.05, I = 43
2θ 66.16, I = 23
2θ 69.83, I = 28
2θ 72.83, I = 22
2θ 85.11, I = 19

---

(2)
Structure and theoretical powder diffractogram of RbBaTaS4 (DFT lattice parameters and positions (GGA-PBE); Cu Kα (λ = 1.5418 Å)).

Crystal structure
```
RbBaTaS4
1.0
9.468 0.000 0.000
0.000 7.115 0.000
0.000 0.000 12.643
Rb Ba Ta S
4 4 4 16
Direct
0.137 0.250 0.088 Rb
0.363 0.750 0.588 Rb
0.637 0.250 0.412 Rb
0.863 0.750 0.912 Rb
0.020 0.750 0.325 Ba
0.480 0.250 0.825 Ba
0.520 0.750 0.175 Ba
0.980 0.250 0.675 Ba
0.230 0.250 0.421 Ta
0.270 0.750 0.921 Ta
0.730 0.250 0.079 Ta
0.770 0.750 0.579 Ta
0.010 0.750 0.585 S
0.184 0.008 0.837 S
0.184 0.492 0.837 S
0.194 0.750 0.093 S
0.306 0.250 0.593 S
0.316 0.508 0.337 S
0.316 0.992 0.337 S
0.490 0.250 0.085 S
0.510 0.750 0.915 S
0.684 0.008 0.663 S
0.684 0.492 0.663 S
0.694 0.750 0.407 S
0.806 0.250 0.907 S
0.816 0.508 0.163 S
0.816 0.992 0.163 S
0.990 0.250 0.415 S
```

Principal peaks in the range 2θ from 10° to 90°, by angle:
2θ 16.86, I = 48
2θ 17.09, I = 78
2θ 21.01, I = 33
2θ 23.65, I = 76
2θ 24.55, I = 100
2θ 25.03, I = 93
2θ 31.82, I = 66
2θ 34.58, I = 37
2θ 48.09, I = 31
2θ 54.17, I = 32

---

(3)
Structure and theoretical powder diffractogram of YSiRh (DFT lattice parameters and positions (GGA-PBE); Cu Kα (λ = 1.5418 Å)).

Crystal structure
```
YSiRh
1.0
6.917 0.000 0.000
0.000 4.249 0.000
0.000 0.000 7.459
Y Si Rh
4 4 4
Direct
0.001 0.250 0.190 Y
0.499 0.750 0.690 Y
0.501 0.250 0.310 Y
0.999 0.750 0.810 Y
0.203 0.750 0.397 Si
0.297 0.250 0.897 Si
0.703 0.750 0.103 Si
0.797 0.250 0.603 Si
0.154 0.250 0.570 Rh
0.346 0.750 0.070 Rh
0.654 0.250 0.930 Rh
0.846 0.750 0.430 Rh
```

Principal peaks in the range 2θ from 10° to 90°, by angle:
2θ 27.38, I = 44
2θ 33.41, I = 29
2θ 34.53, I = 100
2θ 35.40, I = 32
2θ 35.57, I = 89
2θ 40.97, I = 47
2θ 42.11, I = 59
2θ 42.56, I = 52
2θ 60.55, I = 29
2θ 68.36, I = 45

---

(4)
Structure and theoretical powder diffractogram of DyMnGa (DFT lattice parameters and positions (GGA-PBE); Cu Kα (λ = 1.5418 Å)).

Crystal structure
```
DyMnGa
1.0
3.962 0.000 0.000
0.000 6.264 3.565
0.000 -6.264 3.565
Dy Mn Ga
3 3 3
Direct
0.000 0.000 0.000 Dy
0.000 0.420 0.831 Dy
0.000 0.831 0.420 Dy
0.500 0.086 0.757 Mn
0.500 0.660 0.660 Mn
0.500 0.757 0.086 Mn
0.000 0.427 0.427 Ga
0.500 0.170 0.428 Ga
0.500 0.428 0.170 Ga
```

Principal peaks in the range 2θ from 10° to 90°, by angle:
2θ 28.82, I = 27
2θ 33.62, I = 100
2θ 33.83, I = 53
2θ 36.57, I = 51
2θ 36.83, I = 89
2θ 38.07, I = 21
2θ 38.25, I = 23
2θ 38.56, I = 21
2θ 43.83, I = 19
2θ 45.81, I = 36

---

(5)
Structure and theoretical powder diffractogram of SnS16I4 (DFT lattice parameters and positions (GGA-PBE); Cu Kα (λ = 1.5418 Å)).

Crystal structure
```
SnS16I4
1.0
0.000 10.896 8.775
9.717 0.000 8.775
9.717 10.896 0.000
Sn S I
2 32 8
Direct
0.000 0.000 0.000 Sn
0.250 0.250 0.250 Sn
0.026 0.889 0.708 S
0.088 0.780 0.392 S
0.100 0.600 0.830 S
0.133 0.743 0.666 S
0.155 0.434 0.794 S
0.185 0.457 0.639 S
0.396 0.447 0.520 S
0.420 0.780 0.150 S
0.434 0.155 0.617 S
0.447 0.396 0.637 S
0.456 0.633 0.095 S
0.457 0.185 0.719 S
0.510 0.858 0.470 S
0.524 0.752 0.405 S
0.531 0.611 0.793 S
0.542 0.873 0.224 S
0.584 0.791 0.117 S
0.600 0.100 0.470 S
0.611 0.531 0.065 S
0.613 0.730 0.803 S
0.633 0.456 0.816 S
0.730 0.613 0.854 S
0.743 0.133 0.459 S
0.752 0.524 0.319 S
0.780 0.088 0.740 S
0.780 0.420 0.650 S
0.791 0.584 0.507 S
0.845 0.931 0.726 S
0.858 0.510 0.162 S
0.873 0.542 0.361 S
0.889 0.026 0.377 S
0.931 0.845 0.498 S
0.001 0.179 0.797 I
0.030 0.777 0.008 I
0.066 0.242 0.473 I
0.179 0.001 0.023 I
0.227 0.453 0.071 I
0.242 0.066 0.220 I
0.453 0.227 0.249 I
0.777 0.030 0.184 I
```

Principal peaks in the range 2θ from 10° to 90°, by angle:
2θ 12.20, I = 100
2θ 12.95, I = 80
2θ 13.60, I = 81
2θ 16.32, I = 73
2θ 20.86, I = 71
2θ 21.26, I = 80
2θ 25.90, I = 72
2θ 26.11, I = 49
2θ 27.86, I = 58
2θ 35.65, I = 55

---

(6)
Structure and theoretical powder diffractogram of Nb10Ge7 (DFT lattice parameters and positions (GGA-PBE); Cu Kα (λ = 1.5418 Å)).

Crystal structure
```
Nb10Ge7
1.0
14.398 0.000 0.000
-7.199 12.469 0.000
0.000 0.000 5.564
Nb Ge
30 21
Direct
0.000 0.308 0.000 Nb
0.000 0.319 0.500 Nb
0.000 0.681 0.500 Nb
0.000 0.692 0.000 Nb
0.015 0.508 0.739 Nb
0.091 0.182 0.764 Nb
0.091 0.909 0.764 Nb
0.182 0.091 0.236 Nb
0.202 0.601 0.544 Nb
0.308 0.000 0.000 Nb
0.308 0.308 0.000 Nb
0.319 0.000 0.500 Nb
0.319 0.319 0.500 Nb
0.399 0.601 0.544 Nb
0.399 0.798 0.544 Nb
0.492 0.508 0.739 Nb
0.492 0.985 0.739 Nb
0.508 0.015 0.261 Nb
0.508 0.492 0.261 Nb
0.601 0.202 0.456 Nb
0.601 0.399 0.456 Nb
0.681 0.000 0.500 Nb
0.681 0.681 0.500 Nb
0.692 0.000 0.000 Nb
0.692 0.692 0.000 Nb
0.798 0.399 0.456 Nb
0.818 0.909 0.764 Nb
0.909 0.091 0.236 Nb
0.909 0.818 0.236 Nb
0.985 0.492 0.261 Nb
0.000 0.000 0.000 Ge
0.129 0.257 0.263 Ge
0.129 0.871 0.263 Ge
0.160 0.580 0.074 Ge
0.204 0.408 0.676 Ge
0.204 0.796 0.676 Ge
0.257 0.129 0.737 Ge
0.333 0.667 0.920 Ge
0.408 0.204 0.324 Ge
0.420 0.580 0.074 Ge
0.420 0.840 0.074 Ge
0.580 0.160 0.926 Ge
0.580 0.420 0.926 Ge
0.592 0.796 0.676 Ge
0.667 0.333 0.080 Ge
0.743 0.871 0.263 Ge
0.796 0.204 0.324 Ge
0.796 0.592 0.324 Ge
0.840 0.420 0.926 Ge
0.871 0.129 0.737 Ge
0.871 0.743 0.737 Ge
```

Principal peaks in the range 2θ from 10° to 90°, by angle:
2θ 18.83, I = 44
2θ 32.94, I = 82
2θ 35.29, I = 36
2θ 36.77, I = 27
2θ 37.49, I = 78
2θ 38.19, I = 38
2θ 38.96, I = 100
2θ 41.00, I = 41
2θ 41.66, I = 65
2θ 50.74, I = 30

---

(7)
Structure and theoretical powder diffractogram of TiTlCuTe3 (DFT lattice parameters and positions (GGA-PBE); Cu Kα (λ = 1.5418 Å)).

Crystal structure
```
TiTlCuTe3
1.0
8.705 0.000 0.000
0.000 3.980 0.000
-4.203 0.000 9.703
Ti Tl Cu Te
2 2 2 6
Direct
0.211 0.250 0.178 Ti
0.789 0.750 0.822 Ti
0.217 0.750 0.716 Tl
0.783 0.250 0.284 Tl
0.420 0.750 0.400 Cu
0.580 0.250 0.600 Cu
0.044 0.250 0.882 Te
0.249 0.250 0.444 Te
0.422 0.750 0.154 Te
0.578 0.250 0.846 Te
0.751 0.750 0.556 Te
0.956 0.750 0.118 Te
```

Principal peaks in the range 2θ from 10° to 90°, by angle:
2θ 25.27, I = 30
2θ 27.32, I = 54
2θ 28.33, I = 57
2θ 29.02, I = 41
2θ 30.43, I = 100
2θ 34.03, I = 19
2θ 35.57, I = 29
2θ 38.62, I = 20
2θ 45.58, I = 32
2θ 51.20, I = 20

---

(8)
Structure and theoretical powder diffractogram of P4SO6 (DFT lattice parameters and positions (GGA-PBE); Cu Kα (λ = 1.5418 Å)).

Crystal structure
```
P4SO6
1.0
8.482 0.000 0.000
0.000 9.787 0.000
-0.020 0.000 10.311
P S O
16 4 24
Direct
0.027 0.041 0.272 P
0.027 0.459 0.772 P
0.294 0.602 0.888 P
0.294 0.898 0.388 P
0.304 0.199 0.346 P
0.304 0.301 0.846 P
0.315 0.010 0.120 P
0.315 0.490 0.620 P
0.685 0.510 0.380 P
0.685 0.990 0.880 P
0.696 0.699 0.154 P
0.696 0.801 0.654 P
0.706 0.102 0.612 P
0.706 0.398 0.112 P
0.973 0.541 0.228 P
0.973 0.959 0.728 P
0.197 0.546 0.239 S
0.197 0.954 0.739 S
0.803 0.046 0.261 S
0.803 0.454 0.761 S
0.099 0.578 0.864 O
0.099 0.922 0.364 O
0.108 0.178 0.328 O
0.108 0.322 0.828 O
0.117 0.018 0.136 O
0.117 0.482 0.636 O
0.345 0.057 0.427 O
0.345 0.443 0.927 O
0.354 0.604 0.734 O
0.354 0.896 0.234 O
0.362 0.154 0.198 O
0.362 0.346 0.698 O
0.638 0.654 0.302 O
0.638 0.846 0.802 O
0.646 0.104 0.766 O
0.646 0.396 0.266 O
0.655 0.557 0.073 O
0.655 0.943 0.573 O
0.883 0.518 0.364 O
0.883 0.982 0.864 O
0.892 0.678 0.172 O
0.892 0.822 0.672 O
0.901 0.078 0.636 O
0.901 0.422 0.136 O
```

Principal peaks in the range 2θ from 10° to 90°, by angle:
2θ 16.28, I = 100
2θ 17.20, I = 62
2θ 18.13, I = 49
2θ 20.12, I = 33
2θ 20.95, I = 28
2θ 24.45, I = 14
2θ 27.25, I = 27
2θ 29.48, I = 40
2θ 34.17, I = 15
2θ 44.60, I = 22

---

(9)
Structure and theoretical powder diffractogram of DyThCN (DFT lattice parameters and positions (GGA-PBE); Cu Kα (λ = 1.5418 Å)).

Crystal structure
```
DyThCN
1.0
3.664 0.000 0.000
0.000 3.664 0.000
0.000 0.000 5.111
Dy Th C N
1 1 1 1
Direct
0.000 0.000 0.000 Dy
0.500 0.500 0.500 Th
0.000 0.000 0.500 C
0.500 0.500 0.000 N
```

Principal peaks in the range 2θ from 10° to 90°, by angle:
2θ 30.01, I = 100
2θ 34.62, I = 45
2θ 35.11, I = 22
2θ 49.77, I = 16
2θ 50.14, I = 31
2θ 59.22, I = 31
2θ 59.87, I = 15
2θ 62.36, I = 16
2θ 81.50, I = 13
2θ 83.42, I = 7

---

(10)
Structure and theoretical powder diffractogram of AcTe3 (DFT lattice parameters and positions (GGA-PBE); Cu Kα (λ = 1.5418 Å)).

Crystal structure
```
AcTe3
1.0
4.694 0.000 0.000
0.000 4.694 0.000
0.000 0.000 11.671
Ac Te
2 6
Direct
0.000 0.000 0.000 Ac
0.500 0.500 0.500 Ac
0.000 0.000 0.500 Te
0.000 0.500 0.250 Te
0.000 0.500 0.750 Te
0.500 0.000 0.250 Te
0.500 0.000 0.750 Te
0.500 0.500 0.000 Te
```

Principal peaks in the range 2θ from 10° to 90°, by angle:
2θ 30.64, I = 26
2θ 31.00, I = 100
2θ 38.36, I = 28
2θ 49.87, I = 27
2θ 54.70, I = 20
2θ 55.36, I = 10
2θ 64.61, I = 12
2θ 64.82, I = 24
2θ 76.96, I = 7
2θ 81.59, I = 13